No. 1
Simulated XRD peak list
Compound: K2SiAuSe4
Radiation: copper Kα
Structure: a structure optimized by DFT (PBE)
Neutral-atom scattering factors, no anomalous dispersion.

Structural model:
```
data_K2SiAuSe4
_cell_length_a 7.6478
_cell_length_b 7.6478
_cell_length_c 7.9197
_cell_angle_alpha 90.00
_cell_angle_beta 90.00
_cell_angle_gamma 90.00
_space_group_name_H-M_alt 'I -4'
_space_group_IT_number 82
_space_group_name_Hall 'I -4'
loop_
_atom_site_label
_atom_site_type_symbol
_atom_site_fract_x
_atom_site_fract_y
_atom_site_fract_z
K1 K 0.0000 0.0000 0.0000
K2 K 0.0000 0.5000 0.2500
Si1 Si 0.0000 0.5000 0.7500
Au1 Au 0.0000 0.0000 0.5000
Se1 Se 0.1510 0.2879 0.6021
```

Peak list (10 most intense, 10 to 90 degrees two-theta, sorted by position)
d = 5.501 Å, I = 100
d = 3.195 Å, I = 93
d = 3.140 Å, I = 54
d = 2.704 Å, I = 32
d = 2.418 Å, I = 27
d = 2.090 Å, I = 20
d = 2.064 Å, I = 43
d = 2.049 Å, I = 28
d = 1.806 Å, I = 19
d = 1.758 Å, I = 24



No. 2
Simulated XRD peak list
Compound: KSm2AuSe4
Radiation: copper Kα
Structure: a structure optimized by DFT (PBE)
Neutral-atom scattering factors, no anomalous dispersion.

Structural model:
```
data_KSm2AuSe4
_cell_length_a 4.2384
_cell_length_b 14.3001
_cell_length_c 14.8658
_cell_angle_alpha 90.00
_cell_angle_beta 90.00
_cell_angle_gamma 90.00
_space_group_name_H-M_alt 'C m c m'
_space_group_IT_number 63
_space_group_name_Hall '-C 2c 2'
loop_
_atom_site_label
_atom_site_type_symbol
_atom_site_fract_x
_atom_site_fract_y
_atom_site_fract_z
K1 K 0.0000 0.1243 0.2500
Sm1 Sm 0.0000 0.3684 0.0695
Au1 Au 0.0000 0.1544 0.7500
Se1 Se 0.0000 0.0000 0.0000
Se2 Se 0.0000 0.2666 0.6070
Se3 Se 0.0000 0.4531 0.2500
```

Peak list (10 most intense, 10 to 90 degrees two-theta, sorted by position)
d = 6.443 Å, I = 100
d = 3.570 Å, I = 16
d = 3.098 Å, I = 21
d = 2.914 Å, I = 96
d = 2.744 Å, I = 41
d = 2.669 Å, I = 21
d = 2.478 Å, I = 21
d = 2.411 Å, I = 17
d = 2.139 Å, I = 57
d = 2.119 Å, I = 33